Simulated X-ray diffraction stick pattern of LiTa6O15 for Cu Kα X-rays, from a DFT-relaxed cell (GGA-PBE, Alexandria).
Intensities are scaled so that the largest is 100.

The 8 most intense peaks (2θ from 10° to 90°), by angle:
| d_spacing | intensity | index |
| --- | --- | --- |
| 3.897 | 100 | 1 0 0 |
| 3.852 | 25 | 0 1 4 |
| 3.543 | 61 | 0 2 3 |
| 3.187 | 35 | 0 1 5 |
| 2.978 | 18 | 0 3 1 |
| 2.622 | 39 | 1 2 3 |
| 2.467 | 26 | 1 1 5 |
| 1.948 | 19 | 2 0 0 |

Structure:
```
data_LiTa6O15
_chemical_formula_sum 'Li2 Ta12 O30'
_cell_length_a 3.8966
_cell_length_b 9.0755
_cell_length_c 17.0162
_cell_angle_alpha 90.00
_cell_angle_beta 90.00
_cell_angle_gamma 90.00
_space_group_name_H-M_alt 'P m c 21'
_space_group_IT_number 26
_space_group_name_Hall 'P 2c -2'
loop_
_atom_site_label
_atom_site_fract_x
_atom_site_fract_y
_atom_site_fract_z
_atom_site_occupancy
Li1 0.0000 0.1551 0.0000 1
Ta1 0.5000 0.0481 0.8844 1
Ta2 0.5000 0.1840 0.1951 1
Ta3 0.5000 0.1867 0.5781 1
Ta4 0.5000 0.3154 0.3886 1
Ta5 0.5000 0.3972 0.0073 1
Ta6 0.5000 0.3994 0.7691 1
O1 0.0000 0.0516 0.8943 1
O2 0.0000 0.1771 0.2007 1
O3 0.0000 0.1882 0.5785 1
O4 0.0000 0.3151 0.3864 1
O5 0.0000 0.3789 0.0021 1
O6 0.5000 0.0038 0.1315 1
O7 0.5000 0.1281 0.3134 1
O8 0.5000 0.1299 0.4631 1
O9 0.5000 0.1819 0.9756 1
O10 0.5000 0.1996 0.8058 1
O11 0.5000 0.3335 0.1149 1
O12 0.5000 0.3372 0.6642 1
O13 0.5000 0.3863 0.2677 1
O14 0.5000 0.3858 0.5067 1
O15 0.5000 0.4531 0.8858 1
```

***

Simulated X-ray diffraction stick pattern of Li3Ta12O31 for Cu Kα X-rays, from a DFT-relaxed cell (GGA-PBE, Alexandria).
Intensities are scaled so that the largest is 100.

The 8 most intense peaks (2θ from 10° to 90°), by angle:
| d_spacing | intensity | index |
| --- | --- | --- |
| 3.910 | 100 | 0 1 0 |
| 3.859 | 26 | 1 0 -4 |
| 3.546 | 61 | 2 0 3 |
| 3.193 | 37 | 1 0 -5 |
| 2.848 | 24 | 3 0 2 |
| 2.627 | 38 | 2 1 3 |
| 2.473 | 26 | 1 1 -5 |
| 1.955 | 20 | 0 2 0 |

Structure:
```
data_Li3Ta12O31
_chemical_formula_sum 'Li3 Ta12 O31'
_cell_length_a 9.0719
_cell_length_b 3.9103
_cell_length_c 17.0547
_cell_angle_alpha 90.00
_cell_angle_beta 90.05
_cell_angle_gamma 90.00
_space_group_name_H-M_alt 'P 1 m 1'
_space_group_IT_number 6
_space_group_name_Hall 'P -2y'
loop_
_atom_site_label
_atom_site_fract_x
_atom_site_fract_y
_atom_site_fract_z
_atom_site_occupancy
Li1 0.0000 0.0000 0.0000 1
Li2 0.0018 0.0000 0.2294 1
Li3 0.6904 0.0000 0.7260 1
Ta1 0.0302 0.5000 0.4219 1
Ta2 0.0314 0.5000 0.8050 1
Ta3 0.1599 0.5000 0.6152 1
Ta4 0.2438 0.5000 0.2337 1
Ta5 0.2440 0.5000 0.9949 1
Ta6 0.4462 0.5000 0.4971 1
Ta7 0.4480 0.5000 0.7345 1
Ta8 0.5248 0.5000 0.1153 1
Ta9 0.6575 0.5000 0.3067 1
Ta10 0.6594 0.5000 0.9236 1
Ta11 0.7981 0.5000 0.6115 1
Ta12 0.8881 0.5000 0.1149 1
O1 0.0177 0.0000 0.8014 1
O2 0.0227 0.0000 0.4265 1
O3 0.0233 0.5000 0.0267 1
O4 0.0240 0.5000 0.2030 1
O5 0.1623 0.0000 0.6124 1
O6 0.1774 0.5000 0.8874 1
O7 0.1779 0.5000 0.3413 1
O8 0.2204 0.0000 0.9987 1
O9 0.2211 0.0000 0.2302 1
O10 0.2305 0.5000 0.7333 1
O11 0.2317 0.5000 0.4944 1
O12 0.2965 0.5000 0.1146 1
O13 0.3928 0.5000 0.6131 1
O14 0.4586 0.5000 0.2352 1
O15 0.4590 0.5000 0.9954 1
O16 0.4656 0.0000 0.7301 1
O17 0.5086 0.5000 0.3920 1
O18 0.5129 0.5000 0.8421 1
O19 0.5300 0.0000 0.1161 1
O20 0.6460 0.5000 0.5328 1
O21 0.6575 0.0000 0.3045 1
O22 0.6633 0.5000 0.7026 1
O23 0.6724 0.0000 0.9301 1
O24 0.7129 0.5000 0.0422 1
O25 0.7146 0.5000 0.1906 1
O26 0.7922 0.0000 0.6205 1
O27 0.8444 0.5000 0.8646 1
O28 0.8478 0.5000 0.3593 1
O29 0.9034 0.0000 0.1152 1
O30 0.9730 0.5000 0.5396 1
O31 0.9759 0.5000 0.6879 1
```

***

Simulated X-ray diffraction stick pattern of LiTaTcO6 for Cu Kα X-rays, from a DFT-relaxed cell (GGA-PBE, Alexandria).
Intensities are scaled so that the largest is 100.

The 8 most intense peaks (2θ from 10° to 90°), by angle:
| d_spacing | intensity | index |
| --- | --- | --- |
| 4.505 | 34 | 0 0 2 |
| 4.240 | 88 | 1 0 1 |
| 3.398 | 100 | 1 1 0 |
| 2.713 | 32 | 1 1 2 |
| 2.547 | 69 | 1 0 3 |
| 2.091 | 25 | 2 1 1 |
| 1.748 | 63 | 2 1 3 |
| 1.413 | 20 | 3 0 3 |

Structure:
```
data_LiTaTcO6
_chemical_formula_sum 'Li2 Ta2 Tc2 O12'
_cell_length_a 4.8060
_cell_length_b 4.8060
_cell_length_c 9.0092
_cell_angle_alpha 90.00
_cell_angle_beta 90.00
_cell_angle_gamma 90.00
_space_group_name_H-M_alt 'P 42 n m'
_space_group_IT_number 102
_space_group_name_Hall 'P 4n -2n'
loop_
_atom_site_label
_atom_site_fract_x
_atom_site_fract_y
_atom_site_fract_z
_atom_site_occupancy
Li1 0.0000 0.0000 0.0000 1
Ta1 0.0000 0.0000 0.6703 1
Tc1 0.0000 0.0000 0.3278 1
O1 0.1828 0.1828 0.4930 1
O2 0.2059 0.2059 0.1865 1
O3 0.2137 0.2137 0.8163 1
```

***

Simulated X-ray diffraction stick pattern of LiTa2TeO8 for Cu Kα X-rays, from a DFT-relaxed cell (GGA-PBE, Alexandria).
Intensities are scaled so that the largest is 100.

The 8 most intense peaks (2θ from 10° to 90°), by angle:
| d_spacing | intensity | index |
| --- | --- | --- |
| 4.806 | 64 | 1 1 0 |
| 3.812 | 30 | 1 1 1 |
| 3.456 | 69 | 0 2 0 |
| 3.343 | 61 | 2 0 0 |
| 2.623 | 100 | 1 1 2 |
| 1.788 | 48 | 1 3 2 |
| 1.756 | 40 | 3 1 2 |
| 1.426 | 35 | 3 3 2 |

Structure:
```
data_LiTa2TeO8
_chemical_formula_sum 'Li2 Ta4 Te2 O16'
_cell_length_a 6.6869
_cell_length_b 6.9124
_cell_length_c 6.2612
_cell_angle_alpha 90.00
_cell_angle_beta 90.00
_cell_angle_gamma 90.00
_space_group_name_H-M_alt 'C m m m'
_space_group_IT_number 65
_space_group_name_Hall '-C 2 2'
loop_
_atom_site_label
_atom_site_fract_x
_atom_site_fract_y
_atom_site_fract_z
_atom_site_occupancy
Li1 0.0000 0.0000 0.0000 1
Ta1 0.0000 0.5000 0.2385 1
Te1 0.0000 0.0000 0.5000 1
O1 0.0000 0.3075 0.5000 1
O2 0.0000 0.3156 0.0000 1
O3 0.2057 0.0000 0.2618 1
```